This entry pairs a crystal structure of Na3CrSiCO7 with its simulated powder diffraction line list. Radiation: Cu Kα, 1.54184 Å. Structure: a GGA+U-relaxed structure.
Intensities are scaled so that the largest is 100.

The 10 most intense peaks (10 to 80 degrees two-theta), by intensity:
two_theta  d_spacing  I (rel.)
33.64  2.664  100
34.07  2.632  99
26.83  3.323  88
33.23  2.696  46
49.23  1.851  42
19.92  4.458  39
55.28  1.662  34
16.64  5.328  30
37.84  2.378  29
41.46  2.178  28

Cell lengths 5.268, 6.647, 8.918 Å; angles 90.00, 92.19, 90.00 degrees
Space group P2_1/m (No. 11)
Inequivalent atoms, fractional coordinates:
Na1 0.226 0.250 0.089
Na2 0.261 0.517 0.720
Cr1 0.214 0.750 0.340
Si1 0.282 0.250 0.422
C1 0.285 0.750 0.061
O1 0.059 0.750 0.117
O2 0.126 0.250 0.577
O3 0.214 0.053 0.314
O4 0.316 0.750 0.919
O5 0.410 0.750 0.535
O6 0.477 0.750 0.159